This entry pairs a crystal structure of BaTe4O9 with its theoretical powder diffractogram. Radiation: λ = 1.5418 Å (Cu Kα). Structure: a DFT-relaxed cell (GGA-PBE, Alexandria).

The 10 most intense peaks (2θ = 10–80°), by angle:
2θ 20.9, intensity 34
2θ 24.0, intensity 55
2θ 24.4, intensity 24
2θ 24.7, intensity 30
2θ 25.3, intensity 100
2θ 27.0, intensity 83
2θ 28.1, intensity 28
2θ 29.4, intensity 57
2θ 30.5, intensity 42
2θ 30.8, intensity 48

Cell and atoms:
```
56
Lattice="10.1570 -2.2887 0.0000 10.1570 2.2887 0.0000 -8.6479 0.0000 21.6643" Properties=species:S:1:pos:R:3 pbc="T T T"
Ba 2.8966 0.8933 3.4225
Ba -1.4274 -0.8933 14.2547
Ba 13.0935 0.8933 7.4096
Ba 8.7695 -0.8933 18.2418
Te 1.5897 1.5818 15.5132
Te 0.0532 0.0881 9.8098
Te -4.2708 -0.0881 20.6420
Te 5.7525 1.5818 16.9832
Te 4.2332 0.5921 10.6234
Te 6.2782 0.7371 7.4510
Te 9.7119 0.7371 3.3812
Te 11.7569 0.5921 0.2087
Te -0.0908 -0.5921 21.4556
Te 1.9542 -0.7371 18.2831
Te 5.3880 -0.7371 14.2133
Te 7.4329 -0.5921 11.0409
Te 5.9137 -1.5818 4.6811
Te 15.9369 0.0881 1.0223
Te 11.6129 -0.0881 11.8545
Te 10.0764 -1.5818 6.1511
O -0.2515 1.3050 15.6901
O 0.0537 0.8775 11.9392
O -4.0289 0.3509 18.7054
O 6.0630 1.2009 5.4325
O -0.8830 1.0213 20.9926
O 4.4565 0.9693 7.7987
O 2.9282 1.0073 12.2242
O 1.8388 1.0916 17.6862
O 0.2951 -0.3509 7.8732
O 5.5033 1.0916 14.8102
O 9.9271 1.2009 5.3997
O 4.4139 1.0073 20.2723
O 8.2252 1.0213 11.5039
O 11.5336 0.9693 3.0335
O 7.5937 1.3050 16.8063
O 4.3776 -0.8775 1.1070
O 6.2191 0.0106 9.6060
O 1.8951 -0.0106 20.4382
O 9.7710 0.0106 1.2261
O 5.4470 -0.0106 12.0583
O 7.2885 0.8775 20.5573
O 4.0725 -1.3050 4.8580
O 0.1326 -0.9693 18.6308
O 3.4409 -1.0213 10.1605
O 7.2522 -1.0073 1.3920
O 1.7390 -1.2009 16.2646
O 6.1628 -1.0916 6.8541
O 11.3711 0.3509 13.7911
O 9.8273 -1.0916 3.9781
O 8.7379 -1.0073 9.4401
O 7.2096 -0.9693 13.8657
O 12.5492 -1.0213 0.6717
O 5.6032 -1.2009 16.2319
O 15.6950 -0.3509 2.9590
O 11.6125 -0.8775 9.7252
O 11.9176 -1.3050 5.9742
```

---

This entry pairs a crystal structure of Ba3Te2O9 with its theoretical powder diffractogram. Radiation: λ = 1.5418 Å (Cu Kα). Structure: a DFT-relaxed cell (GGA-PBE, Alexandria).

The 10 most intense peaks (2θ = 10–80°), by angle:
2θ 25.1, intensity 82
2θ 26.3, intensity 19
2θ 30.1, intensity 100
2θ 39.6, intensity 57
2θ 40.8, intensity 33
2θ 50.5, intensity 23
2θ 51.5, intensity 26
2θ 53.4, intensity 20
2θ 60.8, intensity 23
2θ 62.5, intensity 19

Cell and atoms:
```
28
Lattice="5.1496 2.9731 4.8926 -5.1496 2.9731 4.8926 0.0000 -5.9462 4.8926" Properties=species:S:1:pos:R:3 pbc="T T T"
Ba -3.4097 0.0405 6.1158
Ba -1.7399 -2.9326 8.5621
Ba 1.6698 -2.9731 6.1158
Ba -1.6698 2.9731 8.5621
Ba 1.7399 2.9326 6.1158
Ba 3.4097 -0.0405 8.5621
Te 0.0000 0.0000 2.2064
Te 0.0000 0.0000 5.1325
Te 0.0000 0.0000 9.5454
Te 0.0000 0.0000 12.4715
O -4.3132 -1.4867 8.3934
O -0.8691 -4.4787 6.2846
O -1.4761 0.0000 3.6695
O -0.8691 -1.4675 5.9470
O 0.7381 -1.2784 3.6695
O -3.4442 2.9920 6.2846
O 0.7381 1.2784 3.6695
O -0.8364 1.4864 5.9470
O -1.7054 0.0189 8.7309
O 1.7054 -0.0189 5.9470
O 0.8364 -1.4864 8.7309
O -0.7381 -1.2784 11.0084
O 3.4442 -2.9920 8.3933
O -0.7381 1.2784 11.0084
O 0.8691 1.4675 8.7309
O 1.4761 0.0000 11.0084
O 0.8691 4.4787 8.3934
O 4.3132 1.4867 6.2846
```

---

This entry pairs a crystal structure of Ba3Te2O9 with its theoretical powder diffractogram. Radiation: λ = 1.5418 Å (Cu Kα). Structure: a DFT-relaxed cell (GGA-PBE, Alexandria).

The 10 most intense peaks (2θ = 10–80°), by angle:
2θ 21.1, intensity 13
2θ 25.1, intensity 49
2θ 30.0, intensity 100
2θ 39.5, intensity 37
2θ 41.0, intensity 17
2θ 50.4, intensity 14
2θ 51.6, intensity 15
2θ 53.3, intensity 15
2θ 53.3, intensity 14
2θ 62.4, intensity 14

Cell and atoms:
```
28
Lattice="5.9533 0.0000 0.0000 -2.9766 5.1557 0.0000 0.0000 0.0000 14.6203" Properties=species:S:1:pos:R:3 pbc="T T T"
Ba 0.0000 3.4371 0.8735
Ba 0.0000 3.4371 6.4366
Ba 0.0000 3.4371 10.9652
Ba 2.9767 1.7186 3.6551
Ba 2.9767 1.7186 8.1837
Ba 2.9767 1.7186 13.7468
Te 0.0000 0.0000 2.1946
Te 0.0000 0.0000 5.1156
Te 0.0000 0.0000 9.5048
Te 0.0000 0.0000 12.4257
O 0.0000 1.4751 3.6551
O -1.6992 4.4181 3.6551
O 0.0000 1.6885 8.6534
O 0.0000 1.6885 13.2771
O -1.5143 4.3114 8.6534
O -1.5143 4.3114 13.2771
O 1.2775 0.7376 10.9652
O 1.4623 0.8443 1.3432
O 1.4623 0.8443 5.9669
O 1.5143 4.3114 8.6534
O 1.5143 4.3114 13.2771
O 1.6992 4.4181 3.6551
O 4.4910 0.8443 1.3432
O 4.4910 0.8443 5.9669
O 2.9767 3.4672 1.3432
O 2.9767 3.4672 5.9669
O 4.6758 0.7376 10.9652
O 2.9767 3.6806 10.9652
```

---

This entry pairs a crystal structure of Ba3TeO5 with its theoretical powder diffractogram. Radiation: λ = 1.5418 Å (Cu Kα). Structure: a DFT-relaxed cell (GGA-PBE, Alexandria).

The 10 most intense peaks (2θ = 10–80°), by angle:
2θ 27.6, intensity 100
2θ 27.8, intensity 27
2θ 33.8, intensity 22
2θ 34.0, intensity 29
2θ 44.3, intensity 19
2θ 44.4, intensity 8
2θ 49.0, intensity 18
2θ 50.8, intensity 15
2θ 54.9, intensity 16
2θ 62.6, intensity 13

Cell and atoms:
```
18
Lattice="-3.7458 3.7458 6.4223 3.7458 -3.7458 6.4223 3.7458 3.7458 -6.4223" Properties=species:S:1:pos:R:3 pbc="T T T"
Ba 5.1121 1.3663 0.0000
Ba 0.0000 0.0000 3.2112
Ba 1.3663 2.3794 0.0000
Ba 2.3794 1.3663 6.4223
Ba 0.0000 0.0000 9.6335
Ba -1.3663 2.3794 6.4223
Te 3.7458 0.0000 3.2112
Te 0.0000 3.7458 3.2112
O 0.0000 0.0000 0.0000
O -1.1176 4.8633 4.5035
O 4.8633 -1.1176 1.9188
O 2.6282 -1.1176 4.5035
O 2.6282 1.1176 1.9188
O -1.1176 2.6282 1.9188
O 4.8633 1.1176 4.5035
O 0.0000 0.0000 6.4223
O 1.1176 2.6282 4.5035
O 1.1176 4.8633 1.9188
```

---

This entry pairs a crystal structure of BaTe2O6 with its theoretical powder diffractogram. Radiation: λ = 1.5418 Å (Cu Kα). Structure: a DFT-relaxed cell (GGA-PBE, Alexandria).

The 10 most intense peaks (2θ = 10–80°), by angle:
2θ 25.7, intensity 51
2θ 27.5, intensity 41
2θ 28.4, intensity 100
2θ 29.5, intensity 98
2θ 29.7, intensity 24
2θ 31.6, intensity 41
2θ 44.9, intensity 30
2θ 51.3, intensity 22
2θ 54.4, intensity 20
2θ 58.8, intensity 30

Cell and atoms:
```
18
Lattice="2.8308 -6.5660 0.0000 2.8308 6.5660 0.0000 0.0000 0.0000 7.4591" Properties=species:S:1:pos:R:3 pbc="T T T"
Ba 2.8308 3.6470 5.5943
Ba 2.8308 -3.6470 1.8648
Te 2.8308 5.4526 1.8648
Te 2.8308 0.0000 0.0000
Te 2.8308 0.0000 3.7295
Te 2.8308 -5.4526 5.5943
O 1.4911 1.3797 4.0636
O 1.4911 1.3797 7.1250
O 2.8308 3.5998 1.8648
O 1.4911 -1.3797 0.3341
O 1.4911 -1.3797 3.3954
O 2.8308 0.6374 1.8648
O 2.8308 -0.6374 5.5943
O 4.1706 1.3797 4.0636
O 4.1706 1.3797 7.1250
O 2.8308 -3.5998 5.5943
O 4.1706 -1.3797 0.3341
O 4.1706 -1.3797 3.3954
```

---

This entry pairs a crystal structure of Ba2TeO6 with its theoretical powder diffractogram. Radiation: λ = 1.5418 Å (Cu Kα). Structure: a DFT-relaxed cell (GGA-PBE, Alexandria).

The 10 most intense peaks (2θ = 10–80°), by angle:
2θ 19.5, intensity 24
2θ 25.4, intensity 100
2θ 29.8, intensity 95
2θ 33.1, intensity 34
2θ 39.5, intensity 58
2θ 45.1, intensity 23
2θ 50.3, intensity 30
2θ 52.9, intensity 19
2θ 55.0, intensity 17
2θ 61.9, intensity 20

Cell and atoms:
```
18
Lattice="5.9931 0.0000 0.0000 -2.9965 5.1902 0.0000 0.0000 0.0000 9.5278" Properties=species:S:1:pos:R:3 pbc="T T T"
Ba 0.0000 0.0000 0.0000
Ba 0.0000 0.0000 4.7639
Ba 0.0000 3.4601 2.5938
Ba 2.9965 1.7301 7.3577
Te 0.0000 3.4601 6.3477
Te 2.9965 1.7301 1.5838
O -1.3444 2.6839 5.1758
O 0.0000 1.8042 7.3468
O -1.4340 4.2880 7.3468
O 1.5625 0.9021 2.5829
O 1.3444 2.6839 5.1758
O 0.0000 5.0125 5.1758
O 2.9965 0.1776 0.4119
O 1.6521 2.5063 0.4119
O 1.4340 4.2880 7.3468
O 4.4306 0.9021 2.5829
O 2.9965 3.3859 2.5829
O 4.3410 2.5063 0.4119
```

---

This entry pairs a crystal structure of BaTeO4 with its theoretical powder diffractogram. Radiation: λ = 1.5418 Å (Cu Kα). Structure: a DFT-relaxed cell (GGA-PBE, Alexandria).

The 10 most intense peaks (2θ = 10–80°), by angle:
2θ 16.0, intensity 20
2θ 23.6, intensity 100
2θ 24.3, intensity 48
2θ 29.6, intensity 21
2θ 30.0, intensity 28
2θ 31.2, intensity 34
2θ 34.9, intensity 19
2θ 43.0, intensity 18
2θ 43.5, intensity 45
2θ 46.3, intensity 19

Cell and atoms:
```
24
Lattice="6.0399 0.0000 0.0000 0.0000 13.7954 0.0000 0.0000 0.0000 5.1481" Properties=species:S:1:pos:R:3 pbc="T T T"
Ba 0.0000 2.2602 1.2870
Ba 0.0000 11.5352 3.8611
Ba 3.0200 4.6375 3.8611
Ba 3.0200 9.1579 1.2870
Te 0.0000 5.9727 1.2870
Te 0.0000 7.8227 3.8611
Te 3.0200 0.9250 3.8611
Te 3.0200 12.8704 1.2870
O 1.0617 6.3380 2.9442
O 1.0617 7.4575 0.3701
O 1.2540 4.6787 0.7494
O 1.2540 9.1167 3.3234
O 1.7660 2.2190 3.3234
O 1.7660 11.5764 0.7494
O 1.9583 0.5597 0.3701
O 1.9583 13.2357 2.9442
O 4.0817 0.5597 2.2039
O 4.0817 13.2357 4.7779
O 4.2739 2.2190 4.3987
O 4.2739 11.5764 1.8247
O 4.7860 4.6787 1.8247
O 4.7860 9.1167 4.3987
O 4.9782 6.3380 4.7779
O 4.9782 7.4575 2.2039
```

---

This entry pairs a crystal structure of Ba2ThTe2O2 with its theoretical powder diffractogram. Radiation: λ = 1.5418 Å (Cu Kα). Structure: a DFT-relaxed cell (GGA-PBE, Alexandria).

The 10 most intense peaks (2θ = 10–80°), by angle:
2θ 19.5, intensity 19
2θ 26.8, intensity 100
2θ 29.3, intensity 21
2θ 31.0, intensity 95
2θ 38.3, intensity 47
2θ 40.1, intensity 27
2θ 48.9, intensity 20
2θ 50.1, intensity 50
2θ 62.5, intensity 19
2θ 72.4, intensity 20

Cell and atoms:
```
7
Lattice="-2.3487 2.3487 9.1558 2.3487 -2.3487 9.1558 2.3487 2.3487 -9.1558" Properties=species:S:1:pos:R:3 pbc="T T T"
Ba 0.0000 0.0000 2.3027
Ba 0.0000 0.0000 16.0090
Th 0.0000 0.0000 9.1558
Te 0.0000 0.0000 5.9529
Te 0.0000 0.0000 12.3587
O 2.3487 0.0000 0.0000
O 0.0000 2.3487 0.0000
```